The following is a theoretical X-ray diffraction stick pattern of Fe2O3F. It was derived from a DFT-relaxed cell (GGA+U, the Materials Project), using copper Kα.

Atomic structure:
```
data_Fe2O3F
_cell_length_a 4.6981
_cell_length_b 7.6488
_cell_length_c 9.8583
_cell_angle_alpha 69.72
_cell_angle_beta 86.17
_cell_angle_gamma 87.47
_symmetry_space_group_name_H-M 'P 1'
_symmetry_Int_Tables_number 1
_symmetry_space_group_name_Hall 'P 1'
loop_
_atom_site_label
_atom_site_type_symbol
_atom_site_fract_x
_atom_site_fract_y
_atom_site_fract_z
_atom_site_occupancy
Fe1 Fe 0.0000 0.0000 0.0000 1
Fe2 Fe 0.9997 0.2009 0.4011 1
Fe3 Fe 0.0197 0.6127 0.2045 1
Fe4 Fe 0.4622 0.6977 0.8827 1
Fe5 Fe 0.4693 0.4968 0.4867 1
Fe6 Fe 0.4980 0.9049 0.2975 1
Fe7 Fe 0.5026 0.3069 0.0988 1
Fe8 Fe 0.5311 0.1094 0.7114 1
Fe9 Fe 0.9921 0.8052 0.5948 1
Fe10 Fe 0.9937 0.4040 0.7942 1
O1 O 0.1723 0.6404 0.7658 1
O2 O 0.1820 0.4331 0.3741 1
O3 O 0.1881 0.8506 0.1699 1
O4 O 0.2951 0.7415 0.4730 1
O5 O 0.3013 0.5426 0.0715 1
O6 O 0.3056 0.3418 0.6752 1
O7 O 0.3068 0.9407 0.8773 1
O8 O 0.3083 0.1454 0.2763 1
O9 O 0.6841 0.6650 0.3191 1
O10 O 0.6851 0.4649 0.9166 1
O11 O 0.6912 0.8639 0.7210 1
O12 O 0.6943 0.2644 0.5206 1
O13 O 0.6974 0.0688 0.1214 1
O14 O 0.8178 0.9699 0.4254 1
O15 O 0.8209 0.1649 0.8288 1
F1 F 0.1981 0.2454 0.9779 1
F2 F 0.2002 0.0418 0.5804 1
F3 F 0.7914 0.5635 0.6145 1
F4 F 0.8022 0.3701 0.2166 1
F5 F 0.8034 0.7598 0.0219 1
```

Most intense lines, 10 to 90 degrees two-theta, low angle first:
Position (°2θ), I/Imax, h k l
25.92, 100, 1 1 2
27.85, 94, -1 1 2
35.43, 99, 1 2 -1
38.42, 19, 2 0 0
52.08, 29, 2 3 1
52.22, 29, 1 0 5
53.31, 15, 2 2 4
54.31, 40, 2 1 -3
57.55, 15, -2 2 4
61.60, 16, 0 4 -2
67.49, 19, 3 2 -1
67.61, 19, 3 -2 1